The following is a computed X-ray powder pattern of Li2VSiO4. It was derived from a GGA+U-relaxed structure, using Cu Kα.
No peak broadening, texture or thermal motion is included.

The 6 most intense peaks (2θ = 15–90°), by angle:
2θ/deg  d (Å)  I/Imax
25.09  3.550  1000
26.35  3.382  534
31.44  2.845  468
34.07  2.631  468
36.70  2.449  374
37.40  2.404  569

Structure:
Unit cell a=6.7637 b=5.2626 c=4.8088 alpha=90.00 beta=90.00 gamma=90.00
Fractional coordinates of all 16 atoms:
Li 0.2501 0.1758 0.0000
Li 0.2499 0.8242 0.5000
Li 0.7499 0.1758 0.0000
Li 0.7501 0.8242 0.5000
V 0.0000 0.3043 0.5200
V 0.5000 0.6957 0.0200
Si 0.0000 0.6744 0.9821
Si 0.5000 0.3256 0.4821
O 0.0000 0.3653 0.0626
O 0.0000 0.6898 0.6379
O 0.2034 0.8124 0.0938
O 0.2966 0.1876 0.5938
O 0.5000 0.3102 0.1379
O 0.5000 0.6347 0.5626
O 0.7034 0.1876 0.5938
O 0.7966 0.8124 0.0938